Ho2PdO4: simulated powder XRD pattern (Cu Kα X-rays), based on a structure optimized by DFT (GGA-PBE).

Crystal structure
```
Ho2PdO4
1.0
7.820 0.000 0.000
0.000 7.820 0.000
0.000 0.000 6.172
Ho Pd O
8 4 16
Cartesian
0.545 4.454 1.543
0.545 7.275 4.629
3.365 4.454 4.629
3.365 7.275 1.543
4.454 0.545 4.629
4.454 3.365 1.543
7.275 0.545 1.543
7.275 3.365 4.629
1.955 1.955 0.375
1.955 1.955 3.461
5.865 5.865 2.711
5.865 5.865 5.798
0.023 5.309 5.680
0.023 6.421 2.594
1.399 3.933 3.578
1.399 7.797 0.492
2.511 3.933 0.492
2.511 7.797 3.578
3.887 5.309 2.594
3.887 6.421 5.680
3.933 1.399 0.492
3.933 2.511 3.578
5.309 0.023 2.594
5.309 3.887 5.680
6.421 0.023 5.680
6.421 3.887 2.594
7.797 1.399 3.578
7.797 2.511 0.492
```

Top 12 peaks for 2θ from 10° to 80°, by intensity:
- d = 3.043 Å, 2θ 29.35, I 100
- d = 2.422 Å, 2θ 37.11, I 47
- d = 1.813 Å, 2θ 50.33, I 46
- d = 2.473 Å, 2θ 36.33, I 37
- d = 1.773 Å, 2θ 51.54, I 31
- d = 1.582 Å, 2θ 58.31, I 23
- d = 2.765 Å, 2θ 32.38, I 17
- d = 1.395 Å, 2θ 67.12, I 17
- d = 2.695 Å, 2θ 33.25, I 15
- d = 3.910 Å, 2θ 22.74, I 13
- d = 3.086 Å, 2θ 28.93, I 12
- d = 1.341 Å, 2θ 70.18, I 12

=====

NdI3O9: simulated powder XRD pattern (Cu Kα X-rays), based on a structure optimized by DFT (GGA-PBE).

Crystal structure
```
NdI3O9
1.0
8.771 0.000 0.000
0.000 5.802 0.000
-6.925 0.000 14.919
Nd I O
4 12 36
Cartesian
0.514 1.384 1.471
-2.948 1.517 8.930
4.794 4.285 5.989
1.332 4.418 13.449
-1.756 1.096 5.172
-5.219 1.805 12.632
-0.439 3.748 7.832
3.024 4.955 0.372
-1.892 3.450 11.918
1.570 5.253 4.459
0.276 0.549 10.461
3.738 2.352 3.001
-1.178 0.847 14.547
2.285 2.054 7.088
7.065 3.997 2.288
3.602 4.706 9.747
-4.370 0.329 10.612
-0.907 2.572 3.152
-2.356 0.448 6.798
-5.818 2.453 14.258
-3.768 3.534 10.047
-0.306 5.169 2.587
-2.216 3.427 7.347
-5.678 5.276 14.806
-3.226 3.447 13.191
0.236 5.255 5.732
1.227 1.140 3.836
-2.236 1.761 11.296
-3.395 0.547 14.124
0.067 2.354 6.664
2.324 2.960 1.957
-1.138 5.743 9.417
2.733 0.197 1.866
-0.730 2.704 9.326
2.576 3.097 5.594
-0.887 5.605 13.053
2.984 0.059 5.502
-0.478 2.842 12.962
1.779 3.448 8.255
5.241 5.255 0.795
4.082 4.041 3.624
0.620 4.661 11.083
1.610 0.547 9.188
5.072 2.354 1.728
7.524 0.526 0.113
4.062 2.375 7.572
2.152 0.633 12.332
5.614 2.268 4.873
7.664 3.349 0.662
4.202 5.354 8.121
2.753 3.230 11.767
6.216 5.473 4.308
```

Top 12 peaks for 2θ from 10° to 80°, by intensity:
- d = 3.352 Å, 2θ 26.60, I 100
- d = 3.281 Å, 2θ 27.18, I 80
- d = 3.776 Å, 2θ 23.56, I 39
- d = 2.935 Å, 2θ 30.45, I 34
- d = 2.785 Å, 2θ 32.14, I 27
- d = 2.727 Å, 2θ 32.85, I 24
- d = 4.185 Å, 2θ 21.23, I 21
- d = 2.752 Å, 2θ 32.54, I 21
- d = 2.053 Å, 2θ 44.11, I 21
- d = 1.709 Å, 2θ 53.64, I 19
- d = 1.775 Å, 2θ 51.47, I 17
- d = 1.989 Å, 2θ 45.61, I 15

=====

Hf5Ir3: simulated powder XRD pattern (Cu Kα X-rays), based on a structure optimized by DFT (GGA-PBE).

Crystal structure
```
Hf5Ir3
1.0
7.897 0.000 0.000
-3.949 6.839 0.000
0.000 0.000 16.954
Hf Ir
30 18
Cartesian
-0.979 1.696 5.651
-2.970 5.144 14.129
-0.857 1.621 16.829
-2.973 5.286 2.951
0.857 1.621 8.602
-2.116 6.771 11.178
1.833 0.068 5.777
0.975 1.553 14.004
-0.538 4.249 9.890
1.958 0.000 0.000
0.979 1.696 2.826
-0.130 4.484 1.413
0.130 4.484 7.064
0.000 4.710 12.716
0.538 4.249 15.542
0.000 5.181 4.239
3.949 1.658 12.716
3.411 2.591 7.064
3.949 2.130 4.239
3.819 2.355 15.542
4.079 2.355 9.890
5.939 0.000 8.477
2.970 5.144 11.303
4.487 2.591 1.413
2.973 5.286 5.526
2.116 6.771 14.254
6.065 0.068 2.701
3.091 5.218 0.125
6.922 1.553 11.428
4.806 5.218 8.352
-1.500 2.599 14.129
-2.448 4.240 5.651
-1.445 2.857 3.228
-2.197 4.159 16.552
3.001 0.000 8.477
1.500 2.599 11.303
1.445 2.857 5.249
-0.752 6.662 14.531
3.197 0.177 2.423
1.752 2.680 0.402
2.197 4.159 8.880
0.752 6.662 10.901
4.700 0.177 6.054
2.503 3.982 13.726
4.897 0.000 0.000
2.448 4.240 2.826
6.145 2.680 8.075
5.394 3.982 11.705
```

Top 12 peaks for 2θ from 10° to 80°, by intensity:
- d = 2.351 Å, 2θ 38.29, I 100
- d = 2.298 Å, 2θ 39.20, I 53
- d = 2.280 Å, 2θ 39.53, I 26
- d = 2.585 Å, 2θ 34.70, I 24
- d = 2.612 Å, 2θ 34.34, I 15
- d = 1.522 Å, 2θ 60.84, I 15
- d = 2.826 Å, 2θ 31.66, I 13
- d = 2.473 Å, 2θ 36.33, I 13
- d = 2.024 Å, 2θ 44.77, I 11
- d = 1.798 Å, 2θ 50.77, I 11
- d = 2.408 Å, 2θ 37.35, I 9
- d = 1.864 Å, 2θ 48.85, I 9